Starting from a GGA-PBE-relaxed structure, the X-ray powder pattern of Sr3Ta4O12F2 was calculated for Cu Kα (λ = 1.5418 Å).

Main lines, low angle first (5° ≤ 2θ ≤ 70°):
| Position (°2θ) | I (rel.) | hkl |
| --- | --- | --- |
| 14.31 | 483 | 1 0 1 |
| 27.70 | 207 | 1 1 3 |
| 28.84 | 1000 | 2 0 2 |
| 29.48 | 318 | 0 0 6 |
| 33.61 | 451 | 0 2 4 |
| 47.85 | 300 | 2 2 0 |
| 48.69 | 293 | 2 0 8 |
| 56.83 | 154 | 0 4 2 |
| 57.21 | 291 | 2 2 6 |
| 57.95 | 143 | 0 2 10 |

```
data_Sr3Ta4O12F2
_chemical_formula_sum 'Sr9 Ta12 O36 F6'
_cell_length_a 7.6041
_cell_length_b 7.6041
_cell_length_c 18.1785
_cell_angle_alpha 90.00
_cell_angle_beta 90.00
_cell_angle_gamma 120.00
_space_group_name_H-M_alt 'R -3 m'
_space_group_IT_number 166
_space_group_name_Hall '-R 3 2"'
loop_
_atom_site_label
_atom_site_fract_x
_atom_site_fract_y
_atom_site_fract_z
_atom_site_occupancy
Sr1 0.0000 0.5000 0.0000 1
Ta1 0.0000 0.0000 0.0000 1
Ta2 0.0000 0.5000 0.5000 1
O1 0.0785 0.5392 0.6069 1
O2 0.0918 0.5459 0.8558 1
F1 0.0000 0.0000 0.3750 1
```